Calculated powder XRD pattern
Compound: Bi2AuSe2
Radiation: Cu Kα X-rays
Structure: a GGA-PBE-relaxed structure
Intensities are scaled so that the largest is 100.

Main lines, in order of rising 2θ (5 to 70 degrees two-theta):
hkl, 2θ (°), I (rel.)
1 0 0, 15.38, 34.2
1 0 -1, 15.60, 29.9
1 0 -2, 18.50, 23.2
0 1 3, 29.55, 100.0
2 0 -1, 30.51, 56.7
1 1 4, 40.35, 28.7
2 1 2, 42.47, 41.0
0 2 0, 43.26, 22.8
2 1 -4, 43.51, 30.9
2 2 -1, 53.86, 23.5

Cell and atoms:
Lattice parameters (Å, degrees): 5.8633 4.1826 13.3542 90.00 100.77 90.00
Atoms (fractional coordinates):
Bi1 0.1168 0.2500 0.2053
Bi2 0.2866 0.2500 0.5940
Bi3 0.7134 0.7500 0.4060
Bi4 0.8832 0.7500 0.7947
Au1 0.0386 0.7500 0.0660
Au2 0.9614 0.2500 0.9340
Se1 0.2196 0.7500 0.4260
Se2 0.3494 0.7500 0.7511
Se3 0.6506 0.2500 0.2489
Se4 0.7804 0.2500 0.5740